TlPtIO6: calculated powder XRD pattern (Cu Kα, 1.54184 Å), based on a structure optimized by DFT (GGA-PBE).
Kinematic intensities with the Lorentz-polarization factor, no thermal factor.

Cell and atoms:
```
TlPtIO6
1.0
5.274 0.000 0.000
-2.637 4.567 0.000
0.000 0.000 6.324
Tl Pt I O
1 1 1 6
direct
0.000 0.000 0.000
0.333 0.667 0.500
0.667 0.333 0.500
0.376 0.012 0.672
0.376 0.363 0.328
0.637 0.012 0.328
0.637 0.624 0.672
0.988 0.363 0.672
0.988 0.624 0.328
```

Largest 10 diffraction maxima, by angle, 10 to 90 degrees two-theta:
Position (°2θ), I/Imax
14.0, 13
24.0, 100
28.2, 17
34.0, 34
42.1, 21
44.8, 42
47.5, 15
55.2, 21
69.3, 11
70.5, 10